1.
Computed X-ray powder pattern of GdTa7O19 for Cu Kα, 1.54184 Å, from a cell relaxed with PBE.
Neutral-atom scattering factors, no anomalous dispersion.

Structural model:
Cell lengths 6.2776, 6.2776, 20.1104 Å; angles 90.00, 90.00, 120.00 degrees
Fractional coordinates of all 54 atoms:
Gd 0.0000 0.0000 0.0000
Gd 0.0000 0.0000 0.5000
Ta 0.3339 0.0259 0.1556
Ta 0.3339 0.0259 0.3444
Ta 0.3339 0.3080 0.6556
Ta 0.3339 0.3080 0.8444
Ta 0.6667 0.3333 0.0000
Ta 0.6667 0.3333 0.5000
Ta 0.6920 0.0259 0.6556
Ta 0.6920 0.0259 0.8444
Ta 0.6920 0.6661 0.1556
Ta 0.6920 0.6661 0.3444
Ta 0.9741 0.3080 0.1556
Ta 0.9741 0.3080 0.3444
Ta 0.9741 0.6661 0.6556
Ta 0.9741 0.6661 0.8444
O 0.0000 0.0000 0.1318
O 0.0000 0.0000 0.3682
O 0.0000 0.0000 0.6318
O 0.0000 0.0000 0.8682
O 0.0880 0.4214 0.6531
O 0.0880 0.4214 0.8469
O 0.0880 0.6666 0.1531
O 0.0880 0.6666 0.3469
O 0.2921 0.0430 0.2500
O 0.2921 0.2491 0.7500
O 0.3334 0.4214 0.1531
O 0.3334 0.4214 0.3469
O 0.3334 0.9120 0.6531
O 0.3334 0.9120 0.8469
O 0.3804 0.0971 0.0562
O 0.3804 0.0971 0.4438
O 0.3804 0.2833 0.5562
O 0.3804 0.2833 0.9438
O 0.5786 0.6666 0.6531
O 0.5786 0.6666 0.8469
O 0.5786 0.9120 0.1531
O 0.5786 0.9120 0.3469
O 0.6667 0.3333 0.1665
O 0.6667 0.3333 0.3335
O 0.6667 0.3333 0.6665
O 0.6667 0.3333 0.8335
O 0.7167 0.0971 0.5562
O 0.7167 0.0971 0.9438
O 0.7167 0.6196 0.0562
O 0.7167 0.6196 0.4438
O 0.7509 0.0430 0.7500
O 0.7509 0.7079 0.2500
O 0.9029 0.2833 0.0562
O 0.9029 0.2833 0.4438
O 0.9029 0.6196 0.5562
O 0.9029 0.6196 0.9438
O 0.9570 0.2491 0.2500
O 0.9570 0.7079 0.7500

Largest 6 diffraction maxima, low angle first, 2θ = 10–80°:
Position (°2θ)	I_rel
26.59	65
28.79	100
29.82	42
33.66	51
36.31	51
50.35	40

---

2.
Computed X-ray powder pattern of Gd3TaO7 for Cu Kα, 1.54184 Å, from a cell relaxed with PBE.
Neutral-atom scattering factors, no anomalous dispersion.

Structural model:
Cell lengths 6.5840, 6.5840, 7.5685 Å; angles 90.00, 90.00, 108.70 degrees
Fractional coordinates of all 22 atoms:
Gd 0.0344 0.4991 0.2590
Gd 0.0365 0.0365 0.0000
Gd 0.4991 0.0344 0.7410
Gd 0.5009 0.9656 0.2410
Gd 0.9635 0.9635 0.5000
Gd 0.9656 0.5009 0.7590
Ta 0.4981 0.4981 0.5000
Ta 0.5019 0.5019 0.0000
O 0.1283 0.8717 0.7500
O 0.1396 0.8604 0.2500
O 0.1744 0.4182 0.9766
O 0.1964 0.4530 0.5434
O 0.4182 0.1744 0.0234
O 0.4367 0.5633 0.2500
O 0.4530 0.1964 0.4566
O 0.5470 0.8036 0.9566
O 0.5633 0.4367 0.7500
O 0.5818 0.8256 0.5234
O 0.8036 0.5470 0.0434
O 0.8256 0.5818 0.4766
O 0.8604 0.1396 0.7500
O 0.8717 0.1283 0.2500

Largest 6 diffraction maxima, low angle first, 2θ = 10–80°:
Position (°2θ)	I_rel
28.63	100
28.90	99
33.25	48
47.92	55
56.45	23
56.93	40

---

3.
Computed X-ray powder pattern of GdTaO4 for Cu Kα, 1.54184 Å, from a cell relaxed with PBE.
Neutral-atom scattering factors, no anomalous dispersion.

Structural model:
Cell lengths 5.2042, 5.5834, 5.3944 Å; angles 90.00, 96.73, 90.00 degrees
Fractional coordinates of all 12 atoms:
Gd 0.0000 0.2325 0.2500
Gd 0.0000 0.7675 0.7500
Ta 0.5000 0.3106 0.7500
Ta 0.5000 0.6894 0.2500
O 0.2519 0.0899 0.6050
O 0.2519 0.9101 0.1050
O 0.2721 0.4354 0.9957
O 0.2721 0.5646 0.4957
O 0.7279 0.4354 0.5043
O 0.7279 0.5646 0.0043
O 0.7481 0.0899 0.8950
O 0.7481 0.9101 0.3950

Largest 6 diffraction maxima, low angle first, 2θ = 10–80°:
Position (°2θ)	I_rel
27.62	100
30.01	80
32.06	19
33.45	25
47.01	21
47.97	21